1.
The following is a computed powder XRD pattern of Er12MgNi5. It was derived from the GGA-PBE geometry in Alexandria, using Cu Kα X-rays.
Lines closer than 0.1° are merged.

Principal peaks in the range 2θ = 15–90°, low angle first:
| hkl | 2θ/deg | I/Imax |
| --- | --- | --- |
| 2 0 2 | 26.33 | 24 |
| 0 1 3 | 28.73 | 34 |
| 0 3 1 | 29.82 | 29 |
| 3 1 0 | 30.36 | 33 |
| 2 2 2 | 32.56 | 100 |
| 2 1 3 | 34.71 | 61 |
| 1 3 2 | 35.19 | 62 |
| 2 3 1 | 35.65 | 43 |
| 3 2 1 | 35.84 | 29 |
| 5 3 2 | 60.84 | 36 |

Structural model:
```
data_Er12MgNi5
_chemical_formula_sum 'Er24 Mg2 Ni10'
_cell_length_a 9.2981
_cell_length_b 9.4322
_cell_length_c 9.8789
_cell_angle_alpha 90.00
_cell_angle_beta 90.00
_cell_angle_gamma 90.00
_symmetry_space_group_name_H-M 'I m m m'
_symmetry_Int_Tables_number 71
_symmetry_space_group_name_Hall '-I 2 2'
loop_
_atom_site_label
_atom_site_fract_x
_atom_site_fract_y
_atom_site_fract_z
_atom_site_occupancy
Er1 0.0000 0.1903 0.2140 1
Er2 0.1932 0.5000 0.1784 1
Er3 0.2088 0.3186 0.5000 1
Mg1 0.0000 0.0000 0.5000 1
Ni1 0.0000 0.0000 0.0000 1
Ni2 0.0000 0.3631 0.0000 1
Ni3 0.0000 0.5000 0.3777 1
```



2.
The following is a computed powder XRD pattern of TbS4. It was derived from the GGA-PBE geometry in Alexandria, using Cu Kα X-rays.
Lines closer than 0.1° are merged.

Principal peaks in the range 2θ = 15–90°, low angle first:
| hkl | 2θ/deg | I/Imax |
| --- | --- | --- |
| 1 1 0 | 17.82 | 78 |
| 1 0 1 | 23.29 | 19 |
| 2 0 0 | 25.30 | 30 |
| 1 2 1 | 34.65 | 100 |
| 0 0 2 | 39.64 | 15 |
| 3 1 0 | 40.52 | 15 |
| 1 1 2 | 43.77 | 15 |
| 2 3 1 | 50.89 | 38 |
| 4 0 0 | 51.95 | 13 |
| 1 2 3 | 68.72 | 13 |

Structural model:
```
data_TbS4
_chemical_formula_sum 'Tb2 S8'
_cell_length_a 7.0406
_cell_length_b 7.0406
_cell_length_c 4.5478
_cell_angle_alpha 90.00
_cell_angle_beta 90.00
_cell_angle_gamma 90.00
_symmetry_space_group_name_H-M 'I 4/m'
_symmetry_Int_Tables_number 87
_symmetry_space_group_name_Hall '-I 4'
loop_
_atom_site_label
_atom_site_fract_x
_atom_site_fract_y
_atom_site_fract_z
_atom_site_occupancy
Tb1 0.0000 0.0000 0.0000 1
S1 0.0016 0.7619 0.5000 1
```



3.
The following is a computed powder XRD pattern of TbHoScGa. It was derived from the GGA-PBE geometry in Alexandria, using Cu Kα X-rays.
Lines closer than 0.1° are merged.

Principal peaks in the range 2θ = 15–90°, low angle first:
| hkl | 2θ/deg | I/Imax |
| --- | --- | --- |
| 2 0 0 | 24.20 | 26 |
| 2 2 0 | 34.49 | 100 |
| 2 2 2 | 42.58 | 8 |
| 4 0 0 | 49.58 | 18 |
| 4 2 0 | 55.91 | 11 |
| 4 2 2 | 61.80 | 36 |
| 4 4 0 | 72.73 | 11 |
| 6 0 0 | 77.94 | 5 |
| 6 2 0 | 83.05 | 16 |
| 6 2 2 | 88.10 | 3 |

Structural model:
```
data_TbHoScGa
_chemical_formula_sum 'Tb4 Ho4 Sc4 Ga4'
_cell_length_a 7.3547
_cell_length_b 7.3547
_cell_length_c 7.3547
_cell_angle_alpha 90.00
_cell_angle_beta 90.00
_cell_angle_gamma 90.00
_symmetry_space_group_name_H-M 'F -4 3 m'
_symmetry_Int_Tables_number 216
_symmetry_space_group_name_Hall 'F -4 2 3'
loop_
_atom_site_label
_atom_site_fract_x
_atom_site_fract_y
_atom_site_fract_z
_atom_site_occupancy
Tb1 0.0000 0.0000 0.0000 1
Ho1 0.0000 0.0000 0.5000 1
Sc1 0.2500 0.2500 0.2500 1
Ga1 0.2500 0.2500 0.7500 1
```



4.
The following is a computed powder XRD pattern of SrSm5Au6. It was derived from the GGA-PBE geometry in Alexandria, using Cu Kα X-rays.
Lines closer than 0.1° are merged.

Principal peaks in the range 2θ = 15–90°, low angle first:
| hkl | 2θ/deg | I/Imax |
| --- | --- | --- |
| 0 0 3 | 34.14 | 20 |
| 2 0 -1 | 34.29 | 100 |
| 2 0 2 | 49.21 | 14 |
| 0 4 0 | 49.30 | 7 |
| 1 2 4 | 61.20 | 14 |
| 0 4 3 | 61.33 | 7 |
| 3 2 0 | 61.48 | 22 |
| 2 4 2 | 72.22 | 9 |
| 3 2 3 | 82.28 | 5 |
| 4 0 1 | 82.48 | 11 |

Structural model:
```
data_SrSm5Au6
_chemical_formula_sum 'Sr1 Sm5 Au6'
_cell_length_a 5.2209
_cell_length_b 7.3935
_cell_length_c 8.2967
_cell_angle_alpha 90.00
_cell_angle_beta 108.25
_cell_angle_gamma 90.00
_symmetry_space_group_name_H-M 'P 1 2/m 1'
_symmetry_Int_Tables_number 10
loop_
_symmetry_equiv_pos_as_xyz
'x,y,z'
'-x,-y,-z'
'-x,y,-z'
'x,-y,z'
loop_
_atom_site_label
_atom_site_fract_x
_atom_site_fract_y
_atom_site_fract_z
_atom_site_occupancy
Sr1 0.0000 0.0000 0.0000 1
Sm1 0.0000 0.5000 0.0000 1
Sm2 0.3363 0.0000 0.6698 1
Sm3 0.3365 0.5000 0.6696 1
Au1 0.1723 0.2552 0.3494 1
Au2 0.5000 0.2669 0.0000 1
```



5.
The following is a computed powder XRD pattern of Ac2Tb4Ge3O2. It was derived from the GGA-PBE geometry in Alexandria, using Cu Kα X-rays.
Lines closer than 0.1° are merged.

Principal peaks in the range 2θ = 15–90°, low angle first:
| hkl | 2θ/deg | I/Imax |
| --- | --- | --- |
| 1 0 3 | 21.87 | 29 |
| 1 1 2 | 28.02 | 83 |
| 0 0 8 | 28.57 | 31 |
| 1 0 7 | 31.57 | 33 |
| 1 1 6 | 34.73 | 100 |
| 2 0 0 | 38.67 | 67 |
| 2 0 8 | 48.78 | 29 |
| 2 1 7 | 50.75 | 17 |
| 2 2 0 | 55.85 | 23 |
| 3 1 6 | 67.46 | 31 |

Structural model:
```
data_Ac2Tb4Ge3O2
_chemical_formula_sum 'Ac4 Tb8 Ge6 O4'
_cell_length_a 4.6563
_cell_length_b 4.6563
_cell_length_c 24.9966
_cell_angle_alpha 90.00
_cell_angle_beta 90.00
_cell_angle_gamma 90.00
_symmetry_space_group_name_H-M 'I 4/m m m'
_symmetry_Int_Tables_number 139
_symmetry_space_group_name_Hall '-I 4 2'
loop_
_atom_site_label
_atom_site_fract_x
_atom_site_fract_y
_atom_site_fract_z
_atom_site_occupancy
Ac1 0.0000 0.0000 0.1968 1
Tb1 0.0000 0.5000 0.0772 1
Ge1 0.0000 0.0000 0.3348 1
Ge2 0.0000 0.0000 0.5000 1
O1 0.0000 0.0000 0.0885 1
```



6.
The following is a computed powder XRD pattern of CeGa4. It was derived from the GGA-PBE geometry in Alexandria, using Cu Kα X-rays.
Lines closer than 0.1° are merged.

Principal peaks in the range 2θ = 15–90°, low angle first:
| hkl | 2θ/deg | I/Imax |
| --- | --- | --- |
| 1 1 2 | 27.74 | 18 |
| 1 2 1 | 35.16 | 100 |
| 0 2 4 | 38.03 | 48 |
| 1 0 5 | 38.26 | 87 |
| 1 2 3 | 39.77 | 19 |
| 2 0 0 | 41.18 | 38 |
| 0 2 6 | 48.29 | 13 |
| 2 2 4 | 57.29 | 28 |
| 1 4 5 | 70.87 | 34 |
| 3 0 5 | 73.11 | 13 |

Structural model:
```
data_CeGa4
_chemical_formula_sum 'Ce4 Ga16'
_cell_length_a 4.3844
_cell_length_b 6.4449
_cell_length_c 13.9405
_cell_angle_alpha 90.00
_cell_angle_beta 90.00
_cell_angle_gamma 90.00
_symmetry_space_group_name_H-M 'I m m a'
_symmetry_Int_Tables_number 74
_symmetry_space_group_name_Hall '-I 2b 2'
loop_
_atom_site_label
_atom_site_fract_x
_atom_site_fract_y
_atom_site_fract_z
_atom_site_occupancy
Ce1 0.0000 0.2500 0.1151 1
Ga1 0.0000 0.0000 0.5000 1
Ga2 0.0000 0.0381 0.6974 1
Ga3 0.0000 0.2500 0.8946 1
```